For AlZn5Cu4, DFT lattice parameters and positions (PBE) gives the computed powder diffraction line list in this record (Cu Kα, 1.54184 Å).
Kinematic intensities with the Lorentz-polarization factor, no thermal factor.

Structure:
```
data_AlZn5Cu4
_chemical_formula_sum 'Al2 Zn10 Cu8'
_symmetry_space_group_name_H-M 'C 1 2/m 1'
_symmetry_Int_Tables_number 12
_symmetry_space_group_name_Hall '-C 2y'
_cell_length_a 12.9652
_cell_length_b 3.9610
_cell_length_c 6.3408
_cell_angle_alpha 90.00
_cell_angle_beta 118.74
_cell_angle_gamma 90.00
loop_
_atom_site_label
_atom_site_type_symbol
_atom_site_fract_x
_atom_site_fract_y
_atom_site_fract_z
Al1 Al 0.0000 0.0000 0.0000
Zn1 Zn 0.0000 0.0000 0.5000
Zn2 Zn 0.1732 0.5000 0.2210
Zn3 Zn 0.1731 0.5000 0.6236
Cu1 Cu 0.0224 0.5000 0.7730
Cu2 Cu 0.1758 0.0000 0.9288
```

Most intense lines, 15 to 90 degrees two-theta, by intensity:
(1 1 2), 43.52°, rel. 1000; (5 1 -2), 43.83°, rel. 809; (0 2 0), 45.82°, rel. 438; (6 0 0), 48.02°, rel. 310; (3 1 1), 41.52°, rel. 298; (3 1 -1), 30.99°, rel. 218; (6 2 0), 68.54°, rel. 200; (2 0 -1), 16.07°, rel. 173